1.
This entry pairs a crystal structure of LaNdCuO4 with its computed X-ray powder pattern. Radiation: Cu Kα (weighted mean of Kα1 and Kα2). Structure: a DFT-relaxed cell (PBE, the Materials Project).
Peak positions follow from Bragg's law for the DFT cell and can differ from measured ones.

Largest 10 diffraction maxima, by angle, 15 to 90 degrees two-theta:
Position (°2θ)	Rel. int.
24.5	22.9
27.3	12.1
31.3	100.0
33.4	66.3
42.0	22.4
43.7	26.9
48.0	32.5
54.9	12.3
58.4	34.7
65.7	10.8

Atomic structure:
Unit cell a=7.052 b=7.052 c=7.052 alpha=148.82 beta=148.82 gamma=44.68
Sites, in units of the cell vectors:
La1 0.000 0.000 0.000
Nd1 0.277 0.277 0.000
Cu1 0.641 0.641 0.000
O1 0.144 0.644 0.500
O2 0.454 0.454 0.000
O3 0.644 0.144 0.500
O4 0.824 0.824 0.000

---

2.
This entry pairs a crystal structure of LaCuNi4 with its computed X-ray powder pattern. Radiation: Cu Kα (weighted mean of Kα1 and Kα2). Structure: a DFT-relaxed cell (PBE, the Materials Project).
Peak positions follow from Bragg's law for the DFT cell and can differ from measured ones.

Largest 10 diffraction maxima, by angle, 15 to 90 degrees two-theta:
Position (°2θ)	Rel. int.
30.4	40.6
35.8	30.7
41.5	33.3
42.5	100.0
45.4	26.4
59.1	13.9
63.2	18.3
68.9	22.2
75.8	15.8
81.9	13.5

Atomic structure:
Unit cell a=5.020 b=5.020 c=3.997 alpha=90.00 beta=90.00 gamma=120.00
Sites, in units of the cell vectors:
La1 0.000 0.000 0.000
Cu1 0.333 0.667 0.000
Ni1 0.501 0.002 0.500
Ni2 0.501 0.499 0.500
Ni3 0.667 0.333 0.000
Ni4 0.998 0.499 0.500

---

3.
This entry pairs a crystal structure of La2Cu3Ni with its computed X-ray powder pattern. Radiation: Cu Kα (weighted mean of Kα1 and Kα2). Structure: a DFT-relaxed cell (PBE, the Materials Project).
Peak positions follow from Bragg's law for the DFT cell and can differ from measured ones.

Largest 10 diffraction maxima, by angle, 15 to 90 degrees two-theta:
Position (°2θ)	Rel. int.
23.9	13.0
33.3	100.0
33.6	49.3
41.9	23.6
42.6	44.3
46.6	17.1
54.7	23.9
55.5	10.8
64.5	12.5
65.0	23.9

Atomic structure:
Unit cell a=3.894 b=4.316 c=7.316 alpha=90.00 beta=90.00 gamma=90.00
Sites, in units of the cell vectors:
La1 0.000 0.000 0.000
La2 0.000 0.500 0.482
Cu1 0.500 0.000 0.655
Cu2 0.500 0.500 0.158
Cu3 0.500 0.500 0.823
Ni1 0.500 0.000 0.321

---

4.
This entry pairs a crystal structure of LaCu3Ni2 with its computed X-ray powder pattern. Radiation: Cu Kα (weighted mean of Kα1 and Kα2). Structure: a DFT-relaxed cell (PBE, the Materials Project).
Peak positions follow from Bragg's law for the DFT cell and can differ from measured ones.

Largest 10 diffraction maxima, by angle, 15 to 90 degrees two-theta:
Position (°2θ)	Rel. int.
30.0	44.9
35.8	27.7
41.6	36.1
42.2	100.0
44.1	29.1
58.1	13.2
62.3	20.9
68.8	21.9
75.9	16.0
79.9	14.1

Atomic structure:
Unit cell a=5.015 b=5.015 c=4.103 alpha=90.00 beta=90.00 gamma=120.00
Sites, in units of the cell vectors:
La1 0.000 0.000 0.000
Cu1 0.000 0.500 0.500
Cu2 0.500 0.000 0.500
Cu3 0.500 0.500 0.500
Ni1 0.333 0.667 0.000
Ni2 0.667 0.333 0.000

---

5.
This entry pairs a crystal structure of LaCuSi2Ni with its computed X-ray powder pattern. Radiation: Cu Kα (weighted mean of Kα1 and Kα2). Structure: a DFT-relaxed cell (PBE, the Materials Project).
Peak positions follow from Bragg's law for the DFT cell and can differ from measured ones.

Largest 10 diffraction maxima, by angle, 15 to 90 degrees two-theta:
Position (°2θ)	Rel. int.
23.4	36.7
35.0	45.9
35.8	100.0
36.7	14.6
43.8	41.2
51.7	14.5
57.3	21.8
58.5	14.5
65.5	16.5
75.2	21.1

Atomic structure:
Unit cell a=5.699 b=5.699 c=5.699 alpha=137.47 beta=137.47 gamma=61.71
Sites, in units of the cell vectors:
La1 0.000 0.000 0.000
Cu1 0.250 0.750 0.500
Si1 0.374 0.374 0.000
Si2 0.626 0.626 0.000
Ni1 0.750 0.250 0.500

---

6.
This entry pairs a crystal structure of La16Cu8O31 with its computed X-ray powder pattern. Radiation: Cu Kα (weighted mean of Kα1 and Kα2). Structure: a DFT-relaxed cell (PBE, the Materials Project).
Peak positions follow from Bragg's law for the DFT cell and can differ from measured ones.

Largest 10 diffraction maxima, by angle, 15 to 90 degrees two-theta:
Position (°2θ)	Rel. int.
23.9	14.0
30.9	100.0
32.1	32.7
33.1	32.5
41.6	14.6
41.8	18.8
43.5	12.7
46.8	31.3
56.4	13.4
57.7	12.4

Atomic structure:
Unit cell a=7.052 b=11.154 c=11.806 alpha=118.09 beta=104.22 gamma=90.15
Sites, in units of the cell vectors:
La1 0.000 0.000 0.000
La2 0.001 0.499 0.001
La3 0.139 0.563 0.617
La4 0.159 0.063 0.613
La5 0.237 0.350 0.231
La6 0.245 0.858 0.245
La7 0.413 0.914 0.860
La8 0.414 0.419 0.861
La9 0.507 0.759 0.497
La10 0.511 0.227 0.495
La11 0.657 0.306 0.109
La12 0.666 0.813 0.120
La13 0.753 0.113 0.755
La14 0.764 0.618 0.770
La15 0.919 0.662 0.362
La16 0.921 0.170 0.360
Cu1 0.214 0.206 0.926
Cu2 0.216 0.708 0.931
Cu3 0.456 0.084 0.181
Cu4 0.457 0.583 0.181
Cu5 0.691 0.460 0.435
Cu6 0.717 0.955 0.428
Cu7 0.951 0.835 0.683
Cu8 0.952 0.335 0.682
O1 0.007 0.444 0.354
O2 0.069 0.273 0.809
O3 0.071 0.772 0.809
O4 0.096 0.519 0.802
O5 0.103 0.017 0.798
O6 0.167 0.664 0.270
O7 0.171 0.158 0.269
O8 0.243 0.266 0.580
O9 0.249 0.736 0.578
O10 0.318 0.398 0.059
O11 0.320 0.898 0.059
O12 0.349 0.142 0.049
O13 0.352 0.643 0.051
O14 0.424 0.987 0.527
O15 0.471 0.677 0.814
O16 0.495 0.196 0.841
O17 0.552 0.525 0.316
O18 0.565 0.020 0.310
O19 0.581 0.272 0.307
O20 0.599 0.767 0.302
O21 0.680 0.413 0.782
O22 0.680 0.918 0.781
O23 0.742 0.006 0.089
O24 0.747 0.504 0.094
O25 0.806 0.649 0.568
O26 0.823 0.147 0.561
O27 0.824 0.398 0.557
O28 0.855 0.890 0.548
O29 0.914 0.723 0.018
O30 0.931 0.230 0.032
O31 0.985 0.945 0.332

---

7.
This entry pairs a crystal structure of La2CuO4 with its computed X-ray powder pattern. Radiation: Cu Kα (weighted mean of Kα1 and Kα2). Structure: a DFT-relaxed cell (PBE, the Materials Project).
Peak positions follow from Bragg's law for the DFT cell and can differ from measured ones.

Largest 10 diffraction maxima, by angle, 15 to 90 degrees two-theta:
Position (°2θ)	Rel. int.
24.2	20.7
31.0	100.0
32.9	31.9
33.3	32.0
41.6	20.7
43.1	12.6
47.5	31.4
54.3	14.5
57.6	17.9
58.1	17.2

Atomic structure:
Unit cell a=19.940 b=19.940 c=5.439 alpha=90.00 beta=90.00 gamma=164.49
Sites, in units of the cell vectors:
La1 0.037 0.963 0.500
La2 0.130 0.870 0.506
La3 0.204 0.796 0.007
La4 0.297 0.703 0.985
La5 0.370 0.630 0.487
La6 0.463 0.537 0.490
La7 0.537 0.463 0.990
La8 0.630 0.370 0.987
La9 0.703 0.297 0.485
La10 0.796 0.204 0.507
La11 0.870 0.130 0.006
La12 0.963 0.037 0.000
Cu1 0.083 0.917 0.996
Cu2 0.250 0.750 0.496
Cu3 0.417 0.583 0.993
Cu4 0.583 0.417 0.493
Cu5 0.750 0.250 0.996
Cu6 0.917 0.083 0.496
O1 0.002 0.498 0.247
O2 0.021 0.979 0.935
O3 0.145 0.855 0.960
O4 0.165 0.332 0.743
O5 0.170 0.336 0.245
O6 0.188 0.812 0.460
O7 0.312 0.688 0.532
O8 0.332 0.165 0.243
O9 0.336 0.170 0.745
O10 0.355 0.645 0.024
O11 0.478 0.522 0.977
O12 0.498 0.002 0.747
O13 0.502 0.998 0.247
O14 0.522 0.478 0.477
O15 0.645 0.355 0.524
O16 0.664 0.830 0.245
O17 0.668 0.835 0.743
O18 0.688 0.312 0.032
O19 0.812 0.188 0.960
O20 0.830 0.664 0.745
O21 0.835 0.668 0.243
O22 0.855 0.145 0.460
O23 0.979 0.021 0.435
O24 0.998 0.502 0.747

---

8.
This entry pairs a crystal structure of La2Cu2O5 with its computed X-ray powder pattern. Radiation: Cu Kα (weighted mean of Kα1 and Kα2). Structure: a DFT-relaxed cell (PBE, the Materials Project).
Peak positions follow from Bragg's law for the DFT cell and can differ from measured ones.

Largest 10 diffraction maxima, by angle, 15 to 90 degrees two-theta:
Position (°2θ)	Rel. int.
29.2	25.2
30.6	24.9
31.5	64.8
32.2	41.7
32.9	100.0
33.1	20.0
39.8	22.2
43.5	17.6
46.1	17.0
48.3	24.2

Atomic structure:
Unit cell a=3.768 b=7.215 c=26.999 alpha=87.26 beta=86.04 gamma=74.88
Sites, in units of the cell vectors:
La1 0.000 0.000 0.000
La2 0.002 0.834 0.134
La3 0.239 0.479 0.964
La4 0.272 0.318 0.097
La5 0.313 0.152 0.231
La6 0.429 0.501 0.501
La7 0.458 0.335 0.635
La8 0.499 0.176 0.769
La9 0.727 0.821 0.597
La10 0.737 0.655 0.732
La11 0.746 0.979 0.463
La12 0.980 0.672 0.268
Cu1 0.092 0.161 0.546
Cu2 0.105 0.992 0.685
Cu3 0.115 0.310 0.405
Cu4 0.131 0.846 0.826
Cu5 0.168 0.986 0.337
Cu6 0.563 0.665 0.395
Cu7 0.593 0.813 0.905
Cu8 0.621 0.341 0.326
Cu9 0.623 0.659 0.046
Cu10 0.639 0.496 0.185
Cu11 0.798 0.170 0.895
Cu12 0.936 0.491 0.837
O1 0.061 0.884 0.901
O2 0.094 0.081 0.616
O3 0.104 0.239 0.476
O4 0.119 0.915 0.755
O5 0.122 0.661 0.046
O6 0.143 0.489 0.184
O7 0.152 0.277 0.330
O8 0.253 0.822 0.528
O9 0.269 0.509 0.779
O10 0.273 0.662 0.657
O11 0.312 0.945 0.405
O12 0.415 0.706 0.327
O13 0.446 0.992 0.074
O14 0.465 0.147 0.953
O15 0.482 0.833 0.203
O16 0.581 0.380 0.402
O17 0.590 0.163 0.547
O18 0.605 0.992 0.685
O19 0.606 0.740 0.976
O20 0.632 0.415 0.255
O21 0.632 0.577 0.116
O22 0.661 0.780 0.830
O23 0.764 0.448 0.905
O24 0.820 0.320 0.028
O25 0.827 0.160 0.157
O26 0.864 0.646 0.453
O27 0.871 0.007 0.278
O28 0.899 0.495 0.575
O29 0.906 0.333 0.704
O30 0.973 0.209 0.827

---

9.
This entry pairs a crystal structure of La8Cu3O16 with its computed X-ray powder pattern. Radiation: Cu Kα (weighted mean of Kα1 and Kα2). Structure: a DFT-relaxed cell (PBE, the Materials Project).
Peak positions follow from Bragg's law for the DFT cell and can differ from measured ones.

Largest 10 diffraction maxima, by angle, 15 to 90 degrees two-theta:
Position (°2θ)	Rel. int.
24.6	34.7
27.1	17.3
31.3	100.0
33.6	67.3
41.1	10.3
41.8	22.9
43.7	35.4
48.3	33.4
54.5	15.9
58.7	29.1

Atomic structure:
Unit cell a=7.107 b=7.541 c=8.421 alpha=116.53 beta=96.77 gamma=105.51
Sites, in units of the cell vectors:
La1 0.000 0.000 0.000
La2 0.001 0.479 0.996
La3 0.003 0.240 0.483
La4 0.007 0.730 0.489
La5 0.549 0.201 0.133
La6 0.554 0.691 0.140
La7 0.557 0.451 0.624
La8 0.558 0.931 0.621
Cu1 0.275 0.711 0.808
Cu2 0.280 0.214 0.810
Cu3 0.280 0.965 0.310
O1 0.273 0.837 0.058
O2 0.275 0.721 0.309
O3 0.276 0.464 0.811
O4 0.277 0.963 0.811
O5 0.279 0.592 0.565
O6 0.280 0.338 0.055
O7 0.283 0.209 0.311
O8 0.285 0.092 0.561
O9 0.644 0.091 0.393
O10 0.644 0.842 0.893
O11 0.646 0.345 0.901
O12 0.652 0.607 0.404
O13 0.903 0.316 0.210
O14 0.911 0.831 0.221
O15 0.912 0.566 0.708
O16 0.916 0.072 0.718

---

10.
This entry pairs a crystal structure of La6Cu6O17 with its computed X-ray powder pattern. Radiation: Cu Kα (weighted mean of Kα1 and Kα2). Structure: a DFT-relaxed cell (PBE, the Materials Project).
Peak positions follow from Bragg's law for the DFT cell and can differ from measured ones.

Largest 10 diffraction maxima, by angle, 15 to 90 degrees two-theta:
Position (°2θ)	Rel. int.
26.4	52.9
29.8	25.0
31.5	100.0
31.7	30.5
34.3	20.2
43.7	27.9
46.6	22.9
49.9	33.2
54.3	26.1
65.8	24.6

Atomic structure:
Unit cell a=6.758 b=6.758 c=10.469 alpha=90.00 beta=90.00 gamma=120.00
Sites, in units of the cell vectors:
La1 0.000 0.000 0.210
La2 0.000 0.000 0.790
La3 0.333 0.667 0.254
La4 0.333 0.667 0.746
La5 0.667 0.333 0.269
La6 0.667 0.333 0.731
Cu1 0.163 0.325 0.500
Cu2 0.163 0.837 0.500
Cu3 0.501 0.002 0.000
Cu4 0.501 0.499 0.000
Cu5 0.675 0.837 0.500
Cu6 0.998 0.499 0.000
O1 0.000 0.000 0.000
O2 0.000 0.000 0.500
O3 0.002 0.324 0.353
O4 0.002 0.678 0.647
O5 0.322 0.324 0.647
O6 0.322 0.998 0.353
O7 0.333 0.667 0.000
O8 0.333 0.667 0.500
O9 0.368 0.005 0.844
O10 0.368 0.363 0.156
O11 0.637 0.005 0.156
O12 0.637 0.632 0.844
O13 0.667 0.333 0.000
O14 0.676 0.678 0.353
O15 0.676 0.998 0.647
O16 0.995 0.363 0.844
O17 0.995 0.632 0.156